Calculated powder XRD pattern
Compound: PmTm5In6
Radiation: Cu Kα (weighted mean of Kα1 and Kα2)
Structure: a DFT-relaxed cell (GGA-PBE, Alexandria)

The 8 most intense peaks (2θ from 5° to 70°), in order of rising 2θ:
- 23.79°, intensity 3
- 33.90°, intensity 100
- 41.84°, intensity 1
- 48.66°, intensity 12
- 48.78°, intensity 6
- 54.87°, intensity 1
- 54.97°, intensity 1
- 60.66°, intensity 37

Cell lengths 5.291, 15.882, 7.467 Å; angles 90.00, 90.00, 90.00 degrees
Space group Cmmm (No. 65)
Inequivalent atoms, fractional coordinates:
Pm (0.000, 0.000, 0.000) x2
Tm (0.000, 0.000, 0.500) x2
Tm (0.000, 0.332, 0.000) x4
Tm (0.000, 0.336, 0.500) x4
In (0.000, 0.170, 0.255) x8
In (0.000, 0.500, 0.254) x4

---

Calculated powder XRD pattern
Compound: NaCu3Br6
Radiation: Cu Kα (weighted mean of Kα1 and Kα2)
Structure: a DFT-relaxed cell (GGA-PBE, Alexandria)

The 10 most intense peaks (2θ from 5° to 70°), in order of rising 2θ:
- 13.26°, intensity 26
- 24.62°, intensity 56
- 25.44°, intensity 61
- 29.80°, intensity 23
- 31.15°, intensity 30
- 34.60°, intensity 25
- 35.47°, intensity 44
- 39.89°, intensity 100
- 44.05°, intensity 34
- 50.40°, intensity 25

Cell lengths 9.230, 13.357, 4.112 Å; angles 90.00, 90.00, 90.00 degrees
Space group Cmmm (No. 65)
Inequivalent atoms, fractional coordinates:
Na (0.000, 0.000, 0.000) x2
Cu (0.000, 0.500, 0.000) x2
Cu (0.250, 0.250, 0.500) x4
Br (0.000, 0.172, 0.500) x4
Br (0.190, 0.374, 0.000) x8